No. 1
This entry pairs a crystal structure of CrSi2Tc with its simulated X-ray diffraction stick pattern. Radiation: Cu Ka. Structure: a crystal structure in Alexandria, relaxed with GGA-PBE.

Main lines, by angle (5 to 70 degrees two-theta):
2θ (°)	I (rel.)
16.6	26
29.0	8
33.5	7
33.6	43
41.5	64
44.9	100
54.3	7
60.2	20

Structure:
Lattice parameters (Å, degrees): 3.0766 3.0766 5.3524 90.00 90.00 90.00
Positions (direct):
Cr: 0.0000 0.0000 0.0000
Si: 0.0000 0.0000 0.4663
Si: 0.5000 0.5000 0.2035
Tc: 0.5000 0.5000 0.6913

No. 2
This entry pairs a crystal structure of Ti5CrSi5 with its simulated X-ray diffraction stick pattern. Radiation: Cu Ka. Structure: a crystal structure in Alexandria, relaxed with GGA-PBE.

Main lines, by angle (5 to 70 degrees two-theta):
2θ (°)	I (rel.)
33.9	18
36.7	100
36.8	86
37.1	46
38.2	36
38.3	28
52.9	56
54.0	19

Structure:
Lattice parameters (Å, degrees): 6.3342 6.3342 6.2885 106.42 106.42 45.55
Positions (direct):
Ti: 0.0000 0.0000 0.0000
Ti: 0.3194 0.3194 0.1809
Ti: 0.3925 0.3925 0.7841
Ti: 0.6075 0.6075 0.2159
Ti: 0.6806 0.6806 0.8191
Cr: 0.0000 0.0000 0.5000
Si: 0.1704 0.1704 0.8090
Si: 0.1812 0.1812 0.4128
Si: 0.5000 0.5000 0.5000
Si: 0.8188 0.8188 0.5872
Si: 0.8296 0.8296 0.1910

No. 3
This entry pairs a crystal structure of Ti4Cr2Si5 with its simulated X-ray diffraction stick pattern. Radiation: Cu Ka. Structure: a crystal structure in Alexandria, relaxed with GGA-PBE.

Main lines, by angle (5 to 70 degrees two-theta):
2θ (°)	I (rel.)
36.7	18
38.9	42
40.0	43
40.9	100
41.3	79
42.2	79
43.8	41
50.4	25

Structure:
Lattice parameters (Å, degrees): 9.2642 9.2642 9.2642 130.91 58.98 149.37
Positions (direct):
Ti: 0.0646 0.7439 0.8084
Ti: 0.1419 0.1093 0.2512
Ti: 0.3581 0.6093 0.9674
Ti: 0.4354 0.2439 0.6793
Ti: 0.5646 0.7561 0.3207
Ti: 0.6419 0.3907 0.0326
Ti: 0.8581 0.8907 0.7488
Ti: 0.9354 0.2561 0.1916
Cr: 0.0595 0.7500 0.3095
Cr: 0.4405 0.7500 0.6905
Cr: 0.5595 0.2500 0.3095
Cr: 0.9405 0.2500 0.6905
Si: 0.0680 0.4131 0.4811
Si: 0.2167 0.7961 0.0128
Si: 0.2500 0.2500 0.0000
Si: 0.2833 0.2961 0.5794
Si: 0.4320 0.9131 0.3451
Si: 0.5680 0.0869 0.6549
Si: 0.7167 0.7039 0.4206
Si: 0.7500 0.7500 0.0000
Si: 0.7833 0.2039 0.9872
Si: 0.9320 0.5869 0.5189

No. 4
This entry pairs a crystal structure of TiCrSi4 with its simulated X-ray diffraction stick pattern. Radiation: Cu Ka. Structure: a crystal structure in Alexandria, relaxed with GGA-PBE.

Main lines, by angle (5 to 70 degrees two-theta):
2θ (°)	I (rel.)
26.3	16
36.0	10
39.0	9
41.6	51
41.8	100
42.5	53
48.6	30
48.8	63

Structure:
Lattice parameters (Å, degrees): 4.5894 12.7758 4.6008 90.00 119.65 90.00
Positions (direct):
Ti: 0.0000 0.0000 0.0000
Ti: 0.0000 0.4963 0.0000
Ti: 0.5000 0.6631 0.0000
Cr: 0.0000 0.3284 0.5000
Cr: 0.0000 0.8344 0.5000
Cr: 0.5000 0.1633 0.0000
Si: 0.1716 0.1665 0.3430
Si: 0.1779 0.6672 0.3419
Si: 0.3353 0.4934 0.6564
Si: 0.3350 0.8321 0.1695
Si: 0.3404 0.3274 0.1677
Si: 0.3416 0.9986 0.6614
Si: 0.6584 0.9986 0.3386
Si: 0.6596 0.3274 0.8323
Si: 0.6647 0.4934 0.3436
Si: 0.6650 0.8321 0.8305
Si: 0.8221 0.6672 0.6581
Si: 0.8284 0.1665 0.6570

No. 5
This entry pairs a crystal structure of Ti3Cr3Si5 with its simulated X-ray diffraction stick pattern. Radiation: Cu Ka. Structure: a crystal structure in Alexandria, relaxed with GGA-PBE.

Main lines, by angle (5 to 70 degrees two-theta):
2θ (°)	I (rel.)
40.5	29
40.6	31
41.4	60
41.7	37
41.9	48
42.1	53
42.8	100
44.5	55

Structure:
Lattice parameters (Å, degrees): 9.1206 9.1206 7.5622 114.08 114.08 30.77
Positions (direct):
Ti: 0.0659 0.0659 0.3096
Ti: 0.1414 0.1414 0.7461
Ti: 0.3575 0.3575 0.4742
Ti: 0.6425 0.6425 0.5258
Ti: 0.8586 0.8586 0.2539
Ti: 0.9341 0.9341 0.6904
Cr: 0.0554 0.5620 0.8088
Cr: 0.4380 0.9446 0.1912
Cr: 0.4391 0.4391 0.1859
Cr: 0.5609 0.5609 0.8141
Cr: 0.5620 0.0554 0.8088
Cr: 0.9446 0.4380 0.1912
Si: 0.0680 0.0680 0.9758
Si: 0.2174 0.2174 0.5124
Si: 0.2561 0.7439 0.5000
Si: 0.2889 0.2889 0.0829
Si: 0.4347 0.4347 0.8578
Si: 0.5653 0.5653 0.1422
Si: 0.7111 0.7111 0.9171
Si: 0.7439 0.2561 0.5000
Si: 0.7826 0.7826 0.4876
Si: 0.9320 0.9320 0.0242

No. 6
This entry pairs a crystal structure of U4Cr7Si with its simulated X-ray diffraction stick pattern. Radiation: Cu Ka. Structure: a crystal structure in Alexandria, relaxed with GGA-PBE.

Main lines, by angle (5 to 70 degrees two-theta):
2θ (°)	I (rel.)
20.0	35
22.9	40
35.1	68
39.4	100
40.7	17
41.9	47
42.3	45
65.8	44

Structure:
Lattice parameters (Å, degrees): 5.1176 5.1176 8.0116 90.00 90.00 120.00
Positions (direct):
U: 0.3333 0.6667 0.0781
U: 0.3333 0.6667 0.4159
U: 0.6667 0.3333 0.5841
U: 0.6667 0.3333 0.9219
Cr: 0.0000 0.0000 0.5000
Cr: 0.1701 0.3402 0.7499
Cr: 0.1701 0.8299 0.7499
Cr: 0.3402 0.1701 0.2501
Cr: 0.6598 0.8299 0.7499
Cr: 0.8299 0.1701 0.2501
Cr: 0.8299 0.6598 0.2501
Si: 0.0000 0.0000 0.0000

No. 7
This entry pairs a crystal structure of V2Cr6Si with its simulated X-ray diffraction stick pattern. Radiation: Cu Ka. Structure: a crystal structure in Alexandria, relaxed with GGA-PBE.

Main lines, by angle (5 to 70 degrees two-theta):
2θ (°)	I (rel.)
20.2	16
38.0	19
42.8	82
43.5	52
44.5	100
44.6	51
49.4	20
61.3	16

Structure:
Lattice parameters (Å, degrees): 6.6463 6.6463 4.2284 107.15 107.15 41.73
Positions (direct):
V: 0.1037 0.1037 0.1021
V: 0.8963 0.8963 0.8979
Cr: 0.0442 0.5636 0.3037
Cr: 0.2513 0.7487 0.5000
Cr: 0.4364 0.9558 0.6963
Cr: 0.5636 0.0442 0.3037
Cr: 0.7487 0.2513 0.5000
Cr: 0.9558 0.4364 0.6963
Si: 0.5000 0.5000 0.0000

No. 8
This entry pairs a crystal structure of VCr2Si6 with its simulated X-ray diffraction stick pattern. Radiation: Cu Ka. Structure: a crystal structure in Alexandria, relaxed with GGA-PBE.

Main lines, by angle (5 to 70 degrees two-theta):
2θ (°)	I (rel.)
27.0	25
36.7	11
40.2	8
40.4	13
42.8	100
42.9	93
49.8	28
50.0	59

Structure:
Lattice parameters (Å, degrees): 4.4667 4.4667 6.3308 90.00 90.00 119.74
Positions (direct):
V: 0.0000 0.0000 0.0000
Cr: 0.0000 0.5000 0.6647
Cr: 0.5000 0.0000 0.3353
Si: 0.1705 0.3366 0.3342
Si: 0.3352 0.6648 0.0000
Si: 0.3366 0.1705 0.6658
Si: 0.6634 0.8295 0.6658
Si: 0.6648 0.3352 0.0000
Si: 0.8295 0.6634 0.3342

No. 9
This entry pairs a crystal structure of V2Cr3Si3 with its simulated X-ray diffraction stick pattern. Radiation: Cu Ka. Structure: a crystal structure in Alexandria, relaxed with GGA-PBE.

Main lines, by angle (5 to 70 degrees two-theta):
2θ (°)	I (rel.)
38.7	40
40.4	100
43.6	75
44.0	52
44.2	54
45.0	82
45.3	76
48.1	79

Structure:
Lattice parameters (Å, degrees): 6.9001 6.9001 6.9001 96.95 96.13 140.55
Positions (direct):
V: 0.0778 0.2306 0.3084
V: 0.4222 0.7306 0.1528
V: 0.5778 0.2694 0.8472
V: 0.9222 0.7694 0.6916
Cr: 0.2234 0.9229 0.1464
Cr: 0.2500 0.7500 0.5000
Cr: 0.2766 0.4229 0.6995
Cr: 0.7234 0.5771 0.3005
Cr: 0.7500 0.2500 0.5000
Cr: 0.7766 0.0771 0.8536
Si: 0.1662 0.6631 0.8293
Si: 0.2500 0.2500 0.0000
Si: 0.3338 0.1631 0.4968
Si: 0.6662 0.8369 0.5032
Si: 0.7500 0.7500 0.0000
Si: 0.8338 0.3369 0.1707

No. 10
This entry pairs a crystal structure of VCrSi4 with its simulated X-ray diffraction stick pattern. Radiation: Cu Ka. Structure: a crystal structure in Alexandria, relaxed with GGA-PBE.

Main lines, by angle (5 to 70 degrees two-theta):
2θ (°)	I (rel.)
26.9	26
36.6	11
40.0	16
42.6	51
42.7	100
42.8	56
49.7	62
49.8	32

Structure:
Lattice parameters (Å, degrees): 4.4900 12.6666 4.4986 90.00 119.81 90.00
Positions (direct):
V: 0.0000 0.0000 0.0000
V: 0.0000 0.4995 0.0000
V: 0.5000 0.6661 0.0000
Cr: 0.0000 0.3322 0.5000
Cr: 0.0000 0.8327 0.5000
Cr: 0.5000 0.1676 0.0000
Si: 0.1703 0.1668 0.3364
Si: 0.1735 0.6671 0.3380
Si: 0.3342 0.4985 0.6609
Si: 0.3348 0.8333 0.1722
Si: 0.3361 0.0000 0.6661
Si: 0.3372 0.3323 0.1698
Si: 0.6628 0.3323 0.8302
Si: 0.6639 0.0000 0.3339
Si: 0.6652 0.8333 0.8278
Si: 0.6658 0.4985 0.3391
Si: 0.8265 0.6671 0.6620
Si: 0.8297 0.1668 0.6636

No. 11
This entry pairs a crystal structure of V4CrSi with its simulated X-ray diffraction stick pattern. Radiation: Cu Ka. Structure: a crystal structure in Alexandria, relaxed with GGA-PBE.

Main lines, by angle (5 to 70 degrees two-theta):
2θ (°)	I (rel.)
20.3	65
28.8	48
41.2	100
41.9	97
49.4	29
58.2	15
59.7	29
60.3	56

Structure:
Lattice parameters (Å, degrees): 6.6710 6.6710 6.6710 97.91 97.91 136.46
Positions (direct):
V: 0.2342 0.0000 0.2342
V: 0.2385 0.4997 0.2613
V: 0.2385 0.9772 0.7387
V: 0.2497 0.4885 0.7613
V: 0.7272 0.4885 0.2387
V: 0.7500 0.0158 0.2658
V: 0.7500 0.4842 0.7342
V: 0.7658 0.0000 0.7658
Cr: 0.2351 0.2351 0.0000
Cr: 0.9851 0.4851 0.5000
Si: 0.4832 0.9832 0.5000
Si: 0.7332 0.7332 0.0000

No. 12
This entry pairs a crystal structure of V3CrSi with its simulated X-ray diffraction stick pattern. Radiation: Cu Ka. Structure: a crystal structure in Alexandria, relaxed with GGA-PBE.

Main lines, by angle (5 to 70 degrees two-theta):
2θ (°)	I (rel.)
14.5	8
42.7	100
43.6	48
43.8	91
44.1	46
61.5	14
62.4	14
65.4	12

Structure:
Lattice parameters (Å, degrees): 4.7643 4.9161 6.4196 78.63 72.22 63.69
Positions (direct):
V: 0.0011 0.1969 0.0973
V: 0.0348 0.3832 0.6942
V: 0.4804 0.1254 0.2965
V: 0.5196 0.8746 0.7035
V: 0.9652 0.6168 0.3058
V: 0.9989 0.8031 0.9027
Cr: 0.0000 0.0000 0.5000
Cr: 0.5000 0.5000 0.5000
Si: 0.4860 0.6972 0.1217
Si: 0.5140 0.3028 0.8783

No. 13
This entry pairs a crystal structure of Cr2Si6W with its simulated X-ray diffraction stick pattern. Radiation: Cu Ka. Structure: a crystal structure in Alexandria, relaxed with GGA-PBE.

Main lines, by angle (5 to 70 degrees two-theta):
2θ (°)	I (rel.)
13.7	62
22.8	60
26.7	97
36.2	73
42.0	59
42.4	69
42.6	100
49.5	66

Structure:
Lattice parameters (Å, degrees): 4.4899 4.4899 6.4510 90.00 90.00 119.67
Positions (direct):
Cr: 0.0000 0.5000 0.1647
Cr: 0.5000 0.0000 0.8353
Si: 0.1718 0.3413 0.8398
Si: 0.3333 0.6667 0.5000
Si: 0.3413 0.1718 0.1602
Si: 0.6587 0.8282 0.1602
Si: 0.6667 0.3333 0.5000
Si: 0.8282 0.6587 0.8398
W: 0.0000 0.0000 0.5000